Diffraction record for TiFe2Bi2PbO9. The XRD peak list is theoretical, not measured: it uses a crystal structure in Alexandria, relaxed with GGA+U and λ = 1.5418 Å (Cu Kα).

Structural model:
Lattice parameters (Å, degrees): 5.5985 5.5985 13.8682 90.00 90.00 120.00
Space group P3 (No. 143)
Asymmetric unit:
Ti  0.0000  0.0000  0.0000 x1
Ti  0.3333  0.6667  0.6659 x1
Fe  0.0000  0.0000  0.5079 x1
Fe  0.3333  0.6667  0.1707 x1
Fe  0.6667  0.3333  0.3439 x1
Fe  0.6667  0.3333  0.8454 x1
Bi  0.0000  0.0000  0.2288 x1
Bi  0.3333  0.6667  0.3937 x1
Bi  0.3333  0.6667  0.8918 x1
Bi  0.6667  0.3333  0.5607 x1
Pb  0.0000  0.0000  0.7507 x1
Pb  0.6667  0.3333  0.0802 x1
O  0.0104  0.5724  0.2732 x3
O  0.0140  0.4613  0.7731 x3
O  0.1053  0.7697  0.6002 x3
O  0.1134  0.3137  0.1029 x3
O  0.3351  0.2178  0.9317 x3
O  0.3533  0.1099  0.4379 x3

Peak list (10 most intense, 2θ from 10° to 90°, by angle)
hkl 0 1 2, 2θ = 22.37°, rel. 77
hkl 1 0 4, 2θ = 31.73°, rel. 97
hkl 1 1 0, 2θ = 31.97°, rel. 100
hkl 2 0 2, 2θ = 39.37°, rel. 35
hkl 0 2 4, 2θ = 45.66°, rel. 49
hkl 1 1 6, 2θ = 51.26°, rel. 24
hkl 1 2 2, 2θ = 51.59°, rel. 19
hkl 3 -1 4, 2θ = 56.83°, rel. 40
hkl 3 0 0, 2θ = 56.98°, rel. 23
hkl 4 -3 4, 2θ = 75.89°, rel. 16